For CsCe2SbO8, DFT lattice parameters and positions (GGA-PBE) gives the theoretical powder X-ray diffraction pattern in this record (Cu Kα).
Kinematic intensities with the Lorentz-polarization factor, no thermal factor.

The 10 most intense peaks (2θ from 15° to 90°), by intensity:
2theta	I/Imax
28.2	100
25.4	55
25.6	47
46.5	34
46.7	31
36.3	26
60.5	18
59.2	12
51.6	11
58.3	11

Atomic structure:
```
CsCe2SbO8
1.0
3.5086 -3.4850 0.0000
3.5086 3.4850 0.0000
-0.0136 0.0000 8.2331
Cs Ce Sb O
1 2 1 8
direct
0.0000 0.0000 0.0000
0.5001 0.5001 0.2868
0.4999 0.4999 0.7132
0.0000 0.0000 0.5000
0.1963 0.8022 0.3205
0.1978 0.8037 0.6795
0.2918 0.2918 0.4998
0.3957 0.3957 0.9998
0.6043 0.6043 0.0002
0.7082 0.7082 0.5002
0.8022 0.1963 0.3205
0.8037 0.1978 0.6795
```


For Cs2CeSeO6, DFT lattice parameters and positions (GGA-PBE) gives the theoretical powder X-ray diffraction pattern in this record (Cu Kα).
Kinematic intensities with the Lorentz-polarization factor, no thermal factor.

The 10 most intense peaks (2θ from 15° to 90°), by intensity:
2theta	I/Imax
26.8	100
31.6	30
53.4	28
29.8	21
44.0	20
51.1	19
45.3	17
55.2	14
70.6	14
82.7	7

Atomic structure:
```
Cs2CeSeO6
1.0
-2.8327 2.8327 5.9888
2.8327 -2.8327 5.9888
2.8327 2.8327 -5.9888
Cs Ce Se O
2 1 1 6
direct
0.0000 0.5000 0.5000
0.5000 0.0000 0.5000
0.2481 0.2481 0.0000
0.7486 0.7486 0.0000
0.4086 0.4086 0.0000
0.4926 0.4926 0.5616
0.4926 0.9310 0.0000
0.8894 0.8894 0.0000
0.9310 0.4926 0.0000
0.9310 0.9310 0.4384
```


For CsCeTa2O7, DFT lattice parameters and positions (GGA-PBE) gives the theoretical powder X-ray diffraction pattern in this record (Cu Kα).
Kinematic intensities with the Lorentz-polarization factor, no thermal factor.

The 10 most intense peaks (2θ from 15° to 90°), by intensity:
2theta	I/Imax
27.5	100
32.3	43
54.7	30
46.3	23
32.6	16
23.2	13
45.4	12
45.7	11
87.7	10
69.6	9

Atomic structure:
```
CsCeTa2O7
1.0
3.9230 0.0000 0.0000
0.0000 3.9230 0.0000
0.0000 0.0000 11.5126
Cs Ce Ta O
1 1 2 7
direct
0.0000 0.0000 0.0000
0.0000 0.0000 0.5000
0.5000 0.5000 0.3053
0.5000 0.5000 0.6947
0.0000 0.5000 0.3429
0.0000 0.5000 0.6571
0.5000 0.0000 0.3429
0.5000 0.0000 0.6571
0.5000 0.5000 0.1484
0.5000 0.5000 0.5000
0.5000 0.5000 0.8516
```


For Cs2CePaSe6, DFT lattice parameters and positions (GGA-PBE) gives the theoretical powder X-ray diffraction pattern in this record (Cu Kα).
Kinematic intensities with the Lorentz-polarization factor, no thermal factor.

The 10 most intense peaks (2θ from 15° to 90°), by intensity:
2theta	I/Imax
32.0	100
22.5	86
45.8	73
39.4	40
76.0	33
15.8	31
57.0	25
84.8	25
27.6	23
62.0	22

Atomic structure:
```
Cs2CePaSe6
1.0
7.9219 0.0000 0.0000
0.0000 11.1997 0.0000
0.0000 0.0000 7.9186
Cs Ce Pa Se
4 2 2 12
direct
0.2500 0.9999 0.2498
0.2500 0.5001 0.2498
0.7500 0.0001 0.7502
0.7500 0.4999 0.7502
0.2500 0.2500 0.7503
0.7500 0.7500 0.2497
0.2500 0.7500 0.7496
0.7500 0.2500 0.2504
0.0036 0.7500 0.5032
0.0035 0.7500 0.9960
0.2500 0.5036 0.7494
0.2500 0.9964 0.7494
0.4964 0.7500 0.5032
0.4965 0.7500 0.9960
0.5035 0.2500 0.0040
0.5036 0.2500 0.4968
0.7500 0.0036 0.2506
0.7500 0.4964 0.2506
0.9965 0.2500 0.0040
0.9964 0.2500 0.4968
```